1.
Theoretical powder diffraction line list of LiFePHO5 for Cu Kα (weighted mean of Kα1 and Kα2), from a DFT-relaxed cell (GGA+U, Alexandria).

Structural model:
abc: 5.1557 5.4291 7.2923
angles: 105.27 109.54 99.18
Space group P-1 (No. 2)
One atom of each set of equivalent atoms:
Li: 0.2482 0.3944 0.3277 x2
Fe: 0.5000 0.0000 0.0000 x1
Fe: 0.5000 0.0000 0.5000 x1
P: 0.1725 0.3612 0.7314 x2
H: 0.1413 0.9341 0.1636 x2
O: 0.1399 0.7497 0.4358 x2
O: 0.1897 0.6535 0.8437 x2
O: 0.2201 0.1996 0.8806 x2
O: 0.3439 0.0445 0.2297 x2
O: 0.3828 0.3482 0.6216 x2

The 10 most intense peaks (2θ from 5° to 70°), in order of rising 2θ:
- d 5.040, I 47
- d 4.793, I 33
- d 4.675, I 54
- d 4.016, I 38
- d 3.520, I 30
- d 3.348, I 81
- d 3.273, I 100
- d 3.040, I 89
- d 2.523, I 49
- d 1.681, I 34

2.
Theoretical powder diffraction line list of AlCrReO6 for Cu Kα (weighted mean of Kα1 and Kα2), from a DFT-relaxed cell (GGA+U, Alexandria).

Structural model:
abc: 4.9429 4.9429 8.8260
angles: 90.00 90.00 120.00
Space group P-31c (No. 163)
One atom of each set of equivalent atoms:
Al: 0.3333 0.6667 0.2500 x2
Cr: 0.0000 0.0000 0.0000 x2
Re: 0.3333 0.6667 0.7500 x2
O: 0.0026 0.3488 0.1320 x12

The 10 most intense peaks (2θ from 5° to 70°), in order of rising 2θ:
- d 4.413, I 36
- d 3.852, I 100
- d 3.073, I 82
- d 2.471, I 41
- d 2.425, I 31
- d 2.156, I 36
- d 2.080, I 20
- d 1.926, I 21
- d 1.646, I 47
- d 1.519, I 19

- Which formula does entry 2 have?
  AlCrReO6

- Which formula does entry 1 have?
  LiFePHO5